# VIr2Os3
Simulated X-ray diffraction stick pattern, Cu Kα (λ = 1.5418 Å). Input: the PBE geometry in Alexandria.

Atomic structure:
```
data_VIr2Os3
_cell_length_a 5.455
_cell_length_b 8.584
_cell_length_c 14.893
_cell_angle_alpha 90.00
_cell_angle_beta 90.00
_cell_angle_gamma 90.00
_symmetry_space_group_name_H-M 'F m m m'
_symmetry_Int_Tables_number 69
_symmetry_space_group_name_Hall '-F 2 2'
loop_
_atom_site_label
_atom_site_fract_x
_atom_site_fract_y
_atom_site_fract_z
V1 0.000 0.000 0.167
Ir1 0.243 0.000 0.000
Ir2 0.250 0.250 0.250
Os1 0.000 0.000 0.331
Os2 0.000 0.246 0.085
```

Most intense lines, 2θ = 15–90°, by intensity:
| (hkl) | two_theta | I/Imax |
| --- | --- | --- |
| 2 0 4 | 41.03 | 100.0 |
| 0 4 0 | 42.07 | 97.3 |
| 2 4 4 | 60.22 | 32.6 |
| 4 4 0 | 84.07 | 27.4 |
| 2 2 10 | 76.14 | 22.0 |
| 0 6 6 | 76.92 | 11.1 |
| 2 6 2 | 76.23 | 10.9 |
| 1 1 3 | 26.40 | 9.2 |
| 4 0 0 | 68.84 | 8.0 |
| 0 0 12 | 76.80 | 5.6 |
| 2 4 0 | 54.37 | 4.9 |
| 0 2 0 | 20.70 | 3.6 |